Diffraction record for Mg2FeO4. The X-ray powder pattern is computed, not measured: it uses a crystal structure in the Materials Project, relaxed with PBE+U and Cu Kα X-rays.
Peak positions follow from Bragg's law for the DFT cell and can differ from measured ones.

Cell and atoms:
abc: 8.500 8.500 8.500
angles: 90.00 90.00 90.00
Space group Fd-3m (No. 227, origin choice 2)
Symmetry-distinct sites (fractional):
Mg 0.000 0.000 0.000 (multiplicity 16)
Fe 0.125 0.125 0.625 (multiplicity 8)
O 0.004 0.004 0.246 (multiplicity 32)

Principal peaks in the range 2θ = 15–90°, sorted by position:
- (2 2 0), 29.73°, intensity 62
- (3 1 1), 35.01°, intensity 100
- (4 0 0), 42.54°, intensity 10
- (4 2 2), 52.76°, intensity 22
- (5 1 1), 56.23°, intensity 34
- (4 4 0), 61.73°, intensity 53
- (6 2 0), 70.00°, intensity 9
- (5 3 3), 72.99°, intensity 10
- (6 4 2), 85.48°, intensity 10
- (5 5 3), 88.32°, intensity 17